1.
Calculated X-ray diffraction stick pattern of Rb2Li14Pr3O14 for λ = 1.5418 Å (Cu Kα), from a structure optimized by DFT (PBE).
Neutral-atom scattering factors, no anomalous dispersion.

Most intense lines, 10 to 90 degrees two-theta, sorted by position:
(hkl), 2θ/deg, I (rel.)
1 1 0, 16.13, 100
0 2 0, 21.75, 54
0 0 4, 26.70, 27
2 1 1, 27.23, 23
1 1 4, 31.35, 21
1 2 3, 32.08, 20
2 1 3, 33.29, 44
0 2 4, 34.69, 64
3 1 0, 38.01, 29
3 3 4, 57.39, 20

Structural model:
Cell: 7.4207 8.1735 13.3552 Å, 90.00 90.00 90.00°
Space group Immm (No. 71)
Inequivalent atoms, fractional coordinates:
Rb1 0.2303 0.0000 0.0000 (multiplicity 4)
Li1 0.0000 0.1448 0.2337 (multiplicity 8)
Li2 0.0000 0.1575 0.5000 (multiplicity 4)
Li3 0.2244 0.1566 0.3684 (multiplicity 16)
Pr1 0.0000 0.5000 0.0000 (multiplicity 2)
Pr2 0.0000 0.5000 0.2731 (multiplicity 4)
O1 0.0000 0.2753 0.3766 (multiplicity 8)
O2 0.0000 0.3028 0.1308 (multiplicity 8)
O3 0.1937 0.0000 0.5000 (multiplicity 4)
O4 0.1960 0.0000 0.2590 (multiplicity 8)

---

2.
Calculated X-ray diffraction stick pattern of LiPrSO for λ = 1.5418 Å (Cu Kα), from a structure optimized by DFT (PBE).
Neutral-atom scattering factors, no anomalous dispersion.

Most intense lines, 10 to 90 degrees two-theta, sorted by position:
(hkl), 2θ/deg, I (rel.)
0 0 1, 10.20, 100
1 1 1, 24.63, 54
1 1 -2, 30.45, 68
1 1 2, 30.56, 67
2 0 0, 31.83, 50
0 2 3, 44.93, 14
2 2 0, 45.64, 29
0 2 4, 53.34, 13
3 1 -2, 55.85, 35
3 1 2, 56.02, 15

Structural model:
Cell: 5.6200 5.6245 8.6752 Å, 90.00 90.28 90.00°
Space group C2/m (No. 12)
Inequivalent atoms, fractional coordinates:
Li1 0.0000 0.2503 0.0000 (multiplicity 4)
Pr1 0.2491 0.0000 0.3573 (multiplicity 4)
S1 0.2490 0.0000 0.8371 (multiplicity 4)
O1 0.0000 0.2507 0.5000 (multiplicity 4)

---

3.
Calculated X-ray diffraction stick pattern of Li2PrSiO5 for λ = 1.5418 Å (Cu Kα), from a structure optimized by DFT (PBE).
Neutral-atom scattering factors, no anomalous dispersion.

Most intense lines, 10 to 90 degrees two-theta, sorted by position:
(hkl), 2θ/deg, I (rel.)
1 1 0, 18.00, 62
0 0 1, 19.15, 59
1 0 1, 23.05, 36
2 0 0, 25.57, 100
1 1 1, 26.40, 31
2 0 1, 32.14, 74
2 2 0, 36.47, 25
3 1 0, 41.00, 61
2 2 1, 41.51, 24
2 1 2, 48.99, 24

Structural model:
Cell: 6.9678 6.9678 4.6343 Å, 90.00 90.00 90.00°
Space group P4/nmm (No. 129, origin choice 2)
Inequivalent atoms, fractional coordinates:
Li1 0.0000 0.0000 0.0000 (multiplicity 4)
Pr1 0.2500 0.2500 0.4293 (multiplicity 2)
Si1 0.2500 0.7500 0.5000 (multiplicity 2)
O1 0.0665 0.7500 0.7199 (multiplicity 8)
O2 0.2500 0.2500 0.9010 (multiplicity 2)

---

4.
Calculated X-ray diffraction stick pattern of Li4PrTaO6 for λ = 1.5418 Å (Cu Kα), from a structure optimized by DFT (PBE).
Neutral-atom scattering factors, no anomalous dispersion.

Most intense lines, 10 to 90 degrees two-theta, sorted by position:
(hkl), 2θ/deg, I (rel.)
0 0 1, 18.00, 100
0 2 0, 18.15, 25
1 1 0, 19.27, 47
1 1 -1, 22.38, 32
0 2 1, 25.68, 21
1 3 0, 32.39, 43
2 0 -1, 33.26, 22
2 0 0, 34.37, 36
1 3 1, 40.02, 48
2 0 -2, 41.53, 22

Structural model:
Cell: 5.5163 9.7740 5.2028 Å, 90.00 108.74 90.00°
Space group C2 (No. 5)
Inequivalent atoms, fractional coordinates:
Li1 0.0000 0.0000 0.0000 (multiplicity 2)
Li2 0.0000 0.1314 0.5000 (multiplicity 2)
Li3 0.0000 0.3070 0.0000 (multiplicity 2)
Li4 0.0000 0.5987 0.0000 (multiplicity 2)
Pr1 0.0000 0.7988 0.5000 (multiplicity 2)
Ta1 0.0000 0.4681 0.5000 (multiplicity 2)
O1 0.2062 0.3213 0.7393 (multiplicity 4)
O2 0.2277 0.6131 0.7409 (multiplicity 4)
O3 0.2303 0.4762 0.2703 (multiplicity 4)